Structure and simulated PXRD pattern of NdSm2Tm6 (a DFT-relaxed cell (PBE, Alexandria); Cu Kα (λ = 1.5418 Å)).
Peak positions follow from Bragg's law for the DFT cell and can differ from measured ones.

Cell and atoms:
Cell lengths 9.7193, 9.7193, 3.4490 Å; angles 90.00, 90.00, 120.00 degrees
Sites, in units of the cell vectors:
Nd 0.0000 0.0000 0.0000
Sm 0.3333 0.6667 0.0000
Sm 0.6667 0.3333 0.0000
Tm 0.0000 0.3339 0.5000
Tm 0.0000 0.6661 0.5000
Tm 0.3339 0.0000 0.5000
Tm 0.3339 0.3339 0.5000
Tm 0.6661 0.0000 0.5000
Tm 0.6661 0.6661 0.5000

Top 12 peaks for 10° ≤ 2θ ≤ 90°, low angle first:
- (0 0 1), 25.8 deg, I 4.6
- (3 0 0), 31.9 deg, I 100.0
- (3 0 1), 41.5 deg, I 8.0
- (2 2 1), 45.7 deg, I 17.1
- (0 0 2), 53.1 deg, I 4.3
- (3 3 0), 56.8 deg, I 28.5
- (3 0 2), 63.3 deg, I 15.2
- (6 0 0), 66.7 deg, I 6.5
- (5 2 1), 75.8 deg, I 7.7
- (3 3 2), 81.5 deg, I 7.5
- (4 4 1), 84.6 deg, I 2.9
- (1 1 3), 87.1 deg, I 2.8